Li3Co2Si2O8: computed powder X-ray diffraction pattern (Cu Ka), based on a DFT-relaxed cell (PBE+U, Alexandria).
Neutral-atom scattering factors, no anomalous dispersion.

Cell lengths 7.3241, 7.5132, 6.4654 Å; angles 90.00, 90.98, 90.00 degrees
Space group Cm (No. 8)
One atom of each set of equivalent atoms:
Li  0.0000  0.0000  0.0000 [2 per cell]
Li  0.3193  0.1761  0.2382 [4 per cell]
Co  0.3157  0.1926  0.7281 [4 per cell]
Si  0.1303  0.5000  0.9887 [2 per cell]
Si  0.4939  0.5000  0.4762 [2 per cell]
O  0.0058  0.5000  0.1869 [2 per cell]
O  0.1152  0.0000  0.2702 [2 per cell]
O  0.1270  0.0000  0.6964 [2 per cell]
O  0.2733  0.3268  0.9731 [4 per cell]
O  0.3686  0.3192  0.4900 [4 per cell]
O  0.4940  0.0000  0.7768 [2 per cell]

Top 12 peaks for 10 to 80 degrees two-theta, in order of rising 2θ:
(hkl)  2θ/deg  d (Å)  Rel. int.
0 0 1  13.7  6.464  100.0
1 1 -1  21.7  4.097  72.6
2 0 0  24.3  3.662  20.4
0 2 1  27.5  3.248  25.4
2 0 1  28.2  3.163  49.1
1 1 -2  32.4  2.767  28.0
1 1 2  32.7  2.737  29.8
2 2 0  34.2  2.622  80.1
1 3 1  40.6  2.221  18.5
2 0 -3  48.7  1.871  16.0
3 3 -2  59.8  1.546  19.3
3 3 2  60.5  1.530  18.4